[1]
Calculated powder X-ray diffraction pattern of SnPdCl6 for Cu Ka, from the PBE geometry in Alexandria.
Neutral-atom scattering factors, no anomalous dispersion.

Peak list (12 most intense, 2θ from 5° to 70°, low angle first)
hkl	d (Å)	I_rel
0 0 1	6.333	100
1 -1 0	4.449	39
1 1 -1	4.193	31
-1 1 1	3.700	21
1 1 -2	3.488	40
2 0 -2	2.620	13
1 -1 2	2.537	20
1 1 -3	2.520	10
0 2 1	2.318	11
2 0 1	2.100	15
1 3 -2	2.010	11
0 2 2	1.802	10

Crystal structure
```
SnPdCl6
1.0
5.7192 0.0000 0.0000
-0.3988 6.5969 0.0000
-2.7863 -3.1110 6.3334
Sn Pd Cl
1 1 6
Cartesian
0.0000 0.0000 0.0000
2.6602 3.2984 0.0000
-1.8221 1.4882 5.3923
-1.0758 -1.5857 5.1670
1.0652 0.1421 2.0987
1.4689 3.3438 4.2348
3.6099 5.0717 1.1664
4.3562 1.9977 0.9411
```


[2]
Calculated powder X-ray diffraction pattern of La3ThHg2 for Cu Ka, from the PBE geometry in Alexandria.
Neutral-atom scattering factors, no anomalous dispersion.

Peak list (12 most intense, 2θ from 5° to 70°, low angle first)
hkl	d (Å)	I_rel
0 0 3	4.399	3
1 0 0	3.746	4
1 0 3	2.852	100
1 1 0	2.649	42
1 1 3	2.269	3
0 0 6	2.200	11
1 0 6	1.897	2
2 0 0	1.873	16
1 1 6	1.692	20
2 1 3	1.566	34
2 0 6	1.426	11
1 0 9	1.366	9

Crystal structure
```
La3ThHg2
1.0
3.7459 0.0000 0.0000
0.0000 3.7459 0.0000
0.0000 0.0000 13.1982
La Th Hg
3 1 2
Cartesian
0.0000 0.0000 0.0000
0.0000 0.0000 4.2182
0.0000 0.0000 8.9800
1.8730 1.8730 6.5991
1.8730 1.8730 2.1022
1.8730 1.8730 11.0960
```